YSbMo2O9: theoretical powder diffractogram (Cu Kα), based on the GGA+U geometry in Alexandria.

Structure:
Unit cell a=13.089 b=14.391 c=10.878 alpha=90.00 beta=123.59 gamma=90.00
Space group C2/c (No. 15)
Unique sites:
Y (0.000, 0.126, 0.250) (multiplicity 4)
Y (0.000, 0.328, 0.750) (multiplicity 4)
Sb (0.135, 0.485, 0.536) (multiplicity 8)
Mo (0.153, 0.106, 0.024) (multiplicity 8)
Mo (0.246, 0.189, 0.693) (multiplicity 8)
O (0.018, 0.441, 0.600) (multiplicity 8)
O (0.083, 0.014, 0.897) (multiplicity 8)
O (0.084, 0.213, 0.931) (multiplicity 8)
O (0.117, 0.261, 0.273) (multiplicity 8)
O (0.131, 0.089, 0.172) (multiplicity 8)
O (0.143, 0.164, 0.502) (multiplicity 8)
O (0.175, 0.269, 0.749) (multiplicity 8)
O (0.186, 0.407, 0.921) (multiplicity 8)
O (0.213, 0.422, 0.203) (multiplicity 8)

Top 6 peaks for 2θ from 15° to 90°, by intensity:
27.30 deg, rel. 100, (4 0 -2)
23.20 deg, rel. 97, (0 2 2)
24.90 deg, rel. 94, (1 3 -2)
26.37 deg, rel. 89, (2 2 1)
28.32 deg, rel. 73, (2 4 -1)
27.55 deg, rel. 59, (2 2 -3)